For Ca2P2O7, the PBE geometry in Alexandria gives the simulated powder diffractogram in this record (CuKα).
Lines closer than 0.1° are merged.

Main lines, by intensity (10 to 90 degrees two-theta):
(hkl)	d_spacing	intensity
1 2 0	3.265	100.0
1 0 -4	3.317	95.9
1 2 -1	3.354	94.4
2 2 1	2.050	67.4
1 1 3	2.679	53.6
1 0 2	3.437	52.3

Cell and atoms:
```
data_Ca2P2O7
_cell_length_a 5.440
_cell_length_b 8.525
_cell_length_c 13.839
_cell_angle_alpha 90.00
_cell_angle_beta 111.03
_cell_angle_gamma 90.00
_space_group_name_H-M_alt 'P 1'
_space_group_IT_number 1
loop_
_space_group_symop_operation_xyz
'x,y,z'
loop_
_atom_site_label
_atom_site_fract_x
_atom_site_fract_y
_atom_site_fract_z
_atom_site_occupancy
Ca1 0.002 0.183 0.257 1
Ca2 0.002 0.317 0.757 1
Ca3 0.336 0.112 0.590 1
Ca4 0.336 0.388 0.090 1
Ca5 0.664 0.612 0.910 1
Ca6 0.664 0.888 0.410 1
Ca7 0.998 0.683 0.243 1
Ca8 0.998 0.817 0.743 1
P1 0.234 0.736 0.027 1
P2 0.234 0.764 0.527 1
P3 0.461 0.514 0.682 1
P4 0.461 0.986 0.182 1
P5 0.539 0.014 0.818 1
P6 0.539 0.486 0.318 1
P7 0.766 0.236 0.473 1
P8 0.766 0.264 0.973 1
O1 0.051 0.748 0.414 1
O2 0.051 0.752 0.914 1
O3 0.085 0.647 0.087 1
O4 0.085 0.853 0.587 1
O5 0.282 0.105 0.767 1
O6 0.282 0.395 0.267 1
O7 0.285 0.528 0.748 1
O8 0.285 0.972 0.248 1
O9 0.296 0.586 0.569 1
O10 0.296 0.914 0.069 1
O11 0.473 0.654 0.338 1
O12 0.473 0.846 0.838 1
O13 0.494 0.653 0.043 1
O14 0.494 0.847 0.543 1
O15 0.506 0.153 0.457 1
O16 0.506 0.347 0.957 1
O17 0.527 0.154 0.162 1
O18 0.527 0.346 0.662 1
O19 0.704 0.086 0.931 1
O20 0.704 0.414 0.431 1
O21 0.715 0.028 0.752 1
O22 0.715 0.472 0.252 1
O23 0.718 0.605 0.733 1
O24 0.718 0.895 0.233 1
O25 0.915 0.147 0.413 1
O26 0.915 0.353 0.913 1
O27 0.949 0.248 0.086 1
O28 0.949 0.252 0.586 1
```